1.
Structure and calculated powder diffractogram of La5Sm3Ni7AgO24 (a crystal structure in the Materials Project, relaxed with GGA+U; Cu Kα).
Peak positions follow from Bragg's law for the DFT cell and can differ from measured ones.

Cell and atoms:
Cell: 7.7343 7.7343 7.7324 Å, 90.01 90.01 90.01°
Fractional coordinates of all 40 atoms:
1 La 0.0000 0.0000 0.0000
2 La 0.0003 0.0003 0.4932
3 La 0.0000 0.4932 0.4933
4 La 0.4932 0.0000 0.4933
5 La 0.4932 0.4932 0.4932
6 Sm 0.0017 0.4920 0.0014
7 Sm 0.4920 0.0017 0.0014
8 Sm 0.4920 0.4920 0.0011
9 Ni 0.2471 0.2471 0.2454
10 Ni 0.2472 0.2472 0.7481
11 Ni 0.2472 0.7462 0.2452
12 Ni 0.2473 0.7463 0.7479
13 Ni 0.7462 0.2472 0.2452
14 Ni 0.7463 0.2473 0.7479
15 Ni 0.7462 0.7462 0.2450
16 Ag 0.7466 0.7466 0.7470
17 O 0.0048 0.7433 0.7507
18 O 0.2469 0.2469 0.4964
19 O 0.2470 0.4963 0.2405
20 O 0.2471 0.4960 0.7524
21 O 0.2470 0.7464 0.4961
22 O 0.2489 0.7441 0.9973
23 O 0.2491 0.9974 0.7502
24 O 0.2495 0.2495 0.9970
25 O 0.2497 0.9971 0.2431
26 O 0.4887 0.7463 0.7535
27 O 0.4963 0.2470 0.2405
28 O 0.4960 0.2471 0.7524
29 O 0.4961 0.7462 0.2417
30 O 0.7433 0.0048 0.7507
31 O 0.7441 0.2489 0.9973
32 O 0.7436 0.7436 0.0043
33 O 0.7439 0.9972 0.2436
34 O 0.7464 0.2470 0.4961
35 O 0.7463 0.4887 0.7535
36 O 0.7462 0.4961 0.2417
37 O 0.7464 0.7464 0.4884
38 O 0.9974 0.2491 0.7502
39 O 0.9971 0.2497 0.2431
40 O 0.9972 0.7439 0.2436

Largest 10 diffraction maxima, by angle, 10° ≤ 2θ ≤ 90°:
Position (°2θ)	d [Å]	I/Imax
23.00	3.867	8
32.75	2.734	100
40.40	2.233	14
47.00	1.933	31
52.95	1.729	4
58.46	1.579	38
68.65	1.367	18
78.17	1.223	16
82.79	1.166	4
87.36	1.116	6

---

2.
Structure and calculated powder diffractogram of La7SmNi6Ag2O24 (a crystal structure in the Materials Project, relaxed with GGA+U; Cu Kα).
Peak positions follow from Bragg's law for the DFT cell and can differ from measured ones.

Cell and atoms:
Cell: 7.8736 7.7922 7.7922 Å, 89.89 90.00 90.00°
Fractional coordinates of all 40 atoms:
1 La 0.0000 0.9999 0.9999
2 La 0.0000 0.9999 0.4858
3 La 0.0000 0.4858 0.9999
4 La 0.0000 0.4864 0.4864
5 La 0.5000 0.0000 0.0000
6 La 0.5000 0.9999 0.4863
7 La 0.5000 0.4863 0.9999
8 Sm 0.5000 0.4836 0.4836
9 Ni 0.2503 0.2433 0.2433
10 Ni 0.2506 0.2436 0.7425
11 Ni 0.2506 0.7425 0.2436
12 Ni 0.7494 0.2436 0.7425
13 Ni 0.7494 0.7425 0.2436
14 Ni 0.7497 0.2433 0.2433
15 Ag 0.2503 0.7428 0.7428
16 Ag 0.7497 0.7428 0.7428
17 O 0.0000 0.2431 0.2431
18 O 0.0000 0.2433 0.7425
19 O 0.0000 0.7425 0.2433
20 O 0.0000 0.7429 0.7429
21 O 0.2503 0.0054 0.7427
22 O 0.2503 0.2432 0.9833
23 O 0.2503 0.7427 0.0054
24 O 0.2503 0.9833 0.2432
25 O 0.2528 0.2455 0.5024
26 O 0.2527 0.4809 0.7401
27 O 0.2528 0.5024 0.2455
28 O 0.2527 0.7401 0.4809
29 O 0.5000 0.2450 0.7405
30 O 0.5000 0.2462 0.2462
31 O 0.5000 0.7397 0.7397
32 O 0.5000 0.7405 0.2450
33 O 0.7472 0.2455 0.5024
34 O 0.7473 0.4809 0.7401
35 O 0.7472 0.5024 0.2455
36 O 0.7473 0.7401 0.4809
37 O 0.7497 0.0054 0.7427
38 O 0.7497 0.2432 0.9833
39 O 0.7497 0.7427 0.0054
40 O 0.7497 0.9833 0.2432

Largest 10 diffraction maxima, by angle, 10° ≤ 2θ ≤ 90°:
Position (°2θ)	d [Å]	I/Imax
32.33	2.769	100
32.50	2.755	49
39.94	2.257	17
46.11	1.968	16
46.62	1.948	30
57.55	1.602	19
57.87	1.593	37
67.67	1.385	18
76.62	1.244	8
77.39	1.233	12

---

3.
Structure and calculated powder diffractogram of LiZn2AgWO6 (a crystal structure in the Materials Project, relaxed with GGA+U; Cu Kα).
Peak positions follow from Bragg's law for the DFT cell and can differ from measured ones.

Cell and atoms:
Cell: 5.4700 5.5188 5.7580 Å, 63.90 71.76 61.34°
Fractional coordinates of all 11 atoms:
1 Li 0.0000 0.0000 0.0000
2 Zn 0.3977 0.3647 0.8529
3 Zn 0.9756 0.8093 0.5194
4 Ag 0.3473 0.0950 0.5044
5 W 0.6908 0.5925 0.1610
6 O 0.0095 0.6805 0.8878
7 O 0.3867 0.5370 0.4458
8 O 0.4119 0.9663 0.9550
9 O 0.6741 0.3978 0.9639
10 O 0.7637 0.7977 0.3162
11 O 0.9511 0.2207 0.3567

Largest 10 diffraction maxima, by angle, 10° ≤ 2θ ≤ 90°:
Position (°2θ)	d [Å]	I/Imax
20.47	4.339	52
23.81	3.737	52
27.16	3.283	86
30.50	2.931	78
31.86	2.809	50
32.25	2.776	91
32.49	2.756	100
32.79	2.731	55
33.64	2.664	58
34.85	2.574	42

---

4.
Structure and calculated powder diffractogram of LiZn2AgWO6 (a crystal structure in the Materials Project, relaxed with GGA+U; Cu Kα).
Peak positions follow from Bragg's law for the DFT cell and can differ from measured ones.

Cell and atoms:
Cell: 5.6616 5.6917 5.8895 Å, 116.92 102.88 106.99°
Fractional coordinates of all 11 atoms:
1 Li 0.0000 0.0000 0.0000
2 Zn 0.2488 0.5905 0.2451
3 Zn 0.7533 0.4126 0.7685
4 Ag 0.0060 0.0073 0.5069
5 W 0.5020 0.0021 0.0069
6 O 0.1745 0.7300 0.9904
7 O 0.3008 0.8766 0.6192
8 O 0.3763 0.2942 0.1397
9 O 0.6265 0.7094 0.8719
10 O 0.7050 0.1304 0.3942
11 O 0.8298 0.2741 0.0223

Largest 10 diffraction maxima, by angle, 10° ≤ 2θ ≤ 90°:
Position (°2θ)	d [Å]	I/Imax
19.61	4.526	37
19.77	4.492	52
26.39	3.377	100
29.54	3.024	62
31.06	2.879	59
31.17	2.869	60
32.52	2.753	31
32.62	2.745	37
40.17	2.245	37
50.77	1.798	27

---

5.
Structure and calculated powder diffractogram of LiZn2AgWO6 (a crystal structure in the Materials Project, relaxed with GGA+U; Cu Kα).
Peak positions follow from Bragg's law for the DFT cell and can differ from measured ones.

Cell and atoms:
Cell: 5.6897 5.7023 5.7959 Å, 117.87 106.97 101.66°
Fractional coordinates of all 11 atoms:
1 Li 0.0000 0.0000 0.0000
2 Zn 0.2430 0.1579 0.5456
3 Zn 0.7370 0.7687 0.4293
4 Ag 0.9655 0.4702 0.9670
5 W 0.4856 0.9626 0.9839
6 O 0.1531 0.9343 0.7064
7 O 0.2707 0.8977 0.1821
8 O 0.3908 0.5625 0.7409
9 O 0.5779 0.3634 0.2227
10 O 0.6922 0.0337 0.7793
11 O 0.8144 0.9944 0.2605

Largest 10 diffraction maxima, by angle, 10° ≤ 2θ ≤ 90°:
Position (°2θ)	d [Å]	I/Imax
19.21	4.619	30
19.36	4.586	33
19.60	4.529	20
20.31	4.372	23
26.11	3.413	100
30.16	2.963	65
31.22	2.865	46
32.01	2.796	50
32.13	2.785	34
32.33	2.769	64